Computed PXRD pattern
Compound: Lu8Au2C3N3
Radiation: Cu Kα, 1.54184 Å
Structure: a crystal structure in OQMD, relaxed with PBE
No peak broadening, texture or thermal motion is included.

Most intense lines, 2θ = 10–90°, low angle first:
Position (°2θ)  I (rel.)
30.13  40
33.19  51
34.91  95
35.57  37
36.91  100
53.12  54
65.57  39
66.44  18

Atomic structure:
```
Lu8Au2C3N3
1.0
3.448 0.000 0.000
-1.724 2.986 0.000
0.000 0.000 25.241
Lu Au C N
8 2 3 3
direct
0.000 0.000 0.158 Lu
0.000 0.000 0.336 Lu
0.000 0.000 0.664 Lu
0.000 0.000 0.842 Lu
0.333 0.667 0.556 Lu
0.333 0.667 0.948 Lu
0.667 0.333 0.052 Lu
0.667 0.333 0.444 Lu
0.333 0.667 0.757 Au
0.667 0.333 0.243 Au
0.000 0.000 0.500 C
0.333 0.667 0.382 C
0.667 0.333 0.618 C
0.000 0.000 0.000 N
0.333 0.667 0.110 N
0.667 0.333 0.890 N
```

***

Computed PXRD pattern
Compound: Lu2W4Au3C3
Radiation: Cu Kα, 1.54184 Å
Structure: a crystal structure in OQMD, relaxed with PBE
No peak broadening, texture or thermal motion is included.

Most intense lines, 2θ = 10–90°, low angle first:
Position (°2θ)  I (rel.)
31.90  11
32.00  22
34.09  11
37.74  100
37.87  45
38.73  13
39.84  26
56.91  13

Atomic structure:
```
Lu2W4Au3C3
1.0
4.839 -2.806 0.000
4.839 2.806 0.000
-3.274 0.000 13.577
Lu W Au C
4 8 6 6
direct
0.040 0.882 0.617 Lu
0.118 0.960 0.883 Lu
0.882 0.040 0.117 Lu
0.960 0.118 0.383 Lu
0.192 0.345 0.073 W
0.295 0.487 0.427 W
0.345 0.192 0.573 W
0.487 0.295 0.927 W
0.513 0.705 0.073 W
0.655 0.808 0.427 W
0.705 0.513 0.573 W
0.808 0.655 0.927 W
0.085 0.354 0.752 Au
0.354 0.085 0.252 Au
0.478 0.522 0.250 Au
0.522 0.478 0.750 Au
0.646 0.915 0.748 Au
0.915 0.646 0.248 Au
0.000 0.500 0.500 C
0.167 0.666 0.000 C
0.334 0.833 0.500 C
0.500 0.000 0.000 C
0.666 0.167 0.500 C
0.833 0.334 0.000 C
```